1.
Theoretical powder XRD pattern of Y4Ru3Rh for Cu Ka, from a structure optimized by DFT (GGA-PBE).
Peak positions follow from Bragg's law for the DFT cell and can differ from measured ones.

Most intense lines, 10 to 90 degrees two-theta, by intensity:
2θ = 37.2°, I 1000, (1 1 2); 2θ = 67.0°, I 272, (2 2 0); 2θ = 37.3°, I 198, (0 0 4); 2θ = 53.7°, I 135, (0 2 4); 2θ = 67.2°, I 134, (1 1 6); 2θ = 79.2°, I 104, (0 4 0); 2θ = 53.5°, I 68, (2 0 0); 2θ = 79.5°, I 21, (0 0 8); 2θ = 26.1°, I 7, (0 1 2)

Crystal structure
```
data_Y4Ru3Rh
_cell_length_a 3.4242
_cell_length_b 4.8369
_cell_length_c 9.6483
_cell_angle_alpha 90.00
_cell_angle_beta 90.00
_cell_angle_gamma 90.00
_space_group_name_H-M_alt 'P m m m'
_space_group_IT_number 47
_space_group_name_Hall '-P 2 2'
loop_
_atom_site_label
_atom_site_fract_x
_atom_site_fract_y
_atom_site_fract_z
Y1 0.0000 0.0000 0.0000
Y2 0.0000 0.0000 0.5000
Y3 0.0000 0.5000 0.2464
Ru1 0.5000 0.0000 0.2516
Ru2 0.5000 0.5000 0.0000
Rh1 0.5000 0.5000 0.5000
```

***

2.
Theoretical powder XRD pattern of La2Er3Tc for Cu Ka, from a structure optimized by DFT (GGA-PBE).
Peak positions follow from Bragg's law for the DFT cell and can differ from measured ones.

Most intense lines, 10 to 90 degrees two-theta, by intensity:
2θ = 33.0°, I 1000, (0 2 2); 2θ = 33.2°, I 998, (2 0 -1); 2θ = 30.6°, I 746, (1 1 -2); 2θ = 32.6°, I 735, (2 2 1); 2θ = 26.2°, I 256, (-1 1 1); 2θ = 49.0°, I 251, (-1 1 4); 2θ = 49.2°, I 230, (2 -2 0); 2θ = 31.2°, I 191, (0 0 3); 2θ = 58.6°, I 188, (4 2 3); 2θ = 58.4°, I 187, (2 4 3); 2θ = 60.1°, I 187, (0 4 1); 2θ = 10.3°, I 185, (0 0 1)

Crystal structure
```
data_La2Er3Tc
_cell_length_a 6.6103
_cell_length_b 6.6409
_cell_length_c 9.0401
_cell_angle_alpha 75.35
_cell_angle_beta 75.31
_cell_angle_gamma 67.91
_space_group_name_H-M_alt 'P -1'
_space_group_IT_number 2
_space_group_name_Hall '-P 1'
loop_
_atom_site_label
_atom_site_fract_x
_atom_site_fract_y
_atom_site_fract_z
La1 0.0819 0.0902 0.1420
La2 0.3959 0.4117 0.8714
Er1 0.0635 0.5559 0.2738
Er2 0.2576 0.7563 0.5018
Er3 0.4436 0.9396 0.7484
Tc1 0.2543 0.2224 0.5029
```

***

3.
Theoretical powder XRD pattern of RbTb4Cl12 for Cu Ka, from a structure optimized by DFT (GGA-PBE).
Peak positions follow from Bragg's law for the DFT cell and can differ from measured ones.

Most intense lines, 10 to 90 degrees two-theta, by intensity:
2θ = 16.9°, I 1000, (0 2 0); 2θ = 23.9°, I 591, (2 0 2); 2θ = 16.7°, I 571, (0 0 2); 2θ = 34.3°, I 423, (0 4 0); 2θ = 42.2°, I 408, (4 2 2); 2θ = 24.1°, I 380, (2 2 0); 2θ = 38.5°, I 318, (4 2 0); 2θ = 48.8°, I 292, (0 4 4); 2θ = 33.7°, I 269, (0 0 4); 2θ = 37.9°, I 260, (2 0 4); 2θ = 52.0°, I 256, (4 2 4); 2θ = 38.3°, I 210, (4 0 2)

Crystal structure
```
data_RbTb4Cl12
_cell_length_a 10.4567
_cell_length_b 10.4723
_cell_length_c 10.6420
_cell_angle_alpha 90.00
_cell_angle_beta 90.00
_cell_angle_gamma 90.00
_space_group_name_H-M_alt 'I m m m'
_space_group_IT_number 71
_space_group_name_Hall '-I 2 2'
loop_
_atom_site_label
_atom_site_fract_x
_atom_site_fract_y
_atom_site_fract_z
Rb1 0.0000 0.0000 0.0000
Tb1 0.2500 0.2500 0.2500
Cl1 0.0000 0.2986 0.2665
Cl2 0.1958 0.0000 0.2613
Cl3 0.2248 0.2381 0.0000
```